No. 1
This entry pairs a crystal structure of LiB4C4 with its simulated XRD peak list. Radiation: Cu Ka. Structure: a cell relaxed with GGA-PBE.
Neutral-atom scattering factors, no anomalous dispersion.

Structure:
Cell lengths 2.7084, 16.3138, 4.5833 Å; angles 90.00, 90.00, 90.00 degrees
Space group Pmn2_1 (No. 31)
Asymmetric unit:
Li  0.0000  0.1109  0.0000 (multiplicity 2)
B  0.0000  0.0087  0.3655 (multiplicity 2)
B  0.0000  0.2162  0.6378 (multiplicity 2)
B  0.0000  0.5071  0.3123 (multiplicity 2)
B  0.0000  0.7659  0.6378 (multiplicity 2)
C  0.0000  0.2328  0.3014 (multiplicity 2)
C  0.0000  0.4937  0.6517 (multiplicity 2)
C  0.0000  0.7852  0.3023 (multiplicity 2)
C  0.0000  0.9910  0.7038 (multiplicity 2)

Peak list (12 most intense, 2θ from 5° to 70°, in order of rising 2θ)
2θ/deg, I (rel.), (hkl)
5.42, 69, 0 1 0
16.30, 22, 0 3 0
21.79, 100, 0 4 0
27.33, 6, 0 5 0
29.31, 3, 0 4 1
38.62, 10, 0 7 0
39.32, 4, 0 0 2
40.22, 2, 1 2 1
44.43, 5, 0 8 0
44.77, 11, 1 4 1
45.40, 6, 0 4 2
69.40, 3, 2 0 0


No. 2
This entry pairs a crystal structure of Li5B8C8 with its simulated XRD peak list. Radiation: Cu Ka. Structure: a cell relaxed with GGA-PBE.
Neutral-atom scattering factors, no anomalous dispersion.

Structure:
Cell lengths 4.7223, 5.3991, 7.7559 Å; angles 80.12, 72.43, 89.99 degrees
Space group P-1 (No. 2)
Asymmetric unit:
Li  0.0000  0.0000  0.0000 (multiplicity 1)
Li  0.2490  0.1445  0.5010 (multiplicity 2)
Li  0.4991  0.2564  0.0007 (multiplicity 2)
B  0.0397  0.1911  0.2473 (multiplicity 2)
B  0.0426  0.6852  0.2457 (multiplicity 2)
B  0.4566  0.5607  0.7497 (multiplicity 2)
B  0.4603  0.0635  0.7504 (multiplicity 2)
C  0.2100  0.9394  0.2443 (multiplicity 2)
C  0.2164  0.4381  0.2453 (multiplicity 2)
C  0.2856  0.3100  0.7552 (multiplicity 2)
C  0.2921  0.8137  0.7488 (multiplicity 2)

Peak list (12 most intense, 2θ from 5° to 70°, in order of rising 2θ)
2θ/deg, I (rel.), (hkl)
12.17, 2, 0 0 1
24.48, 100, 0 0 2
25.25, 2, 1 -1 0
38.12, 3, 2 0 1
38.41, 7, 1 2 1
45.76, 7, 2 0 -1
45.88, 7, 2 0 3
46.02, 14, 1 2 -1
46.12, 14, -1 2 2
50.17, 15, 0 0 4
69.07, 10, 3 2 2
69.66, 5, 0 4 1


No. 3
This entry pairs a crystal structure of LiB2C2 with its simulated XRD peak list. Radiation: Cu Ka. Structure: a cell relaxed with GGA-PBE.
Neutral-atom scattering factors, no anomalous dispersion.

Structure:
Cell lengths 4.7652, 2.7526, 12.4569 Å; angles 90.00, 94.75, 90.00 degrees
Space group P2_1/m (No. 11)
Asymmetric unit:
Li  0.2006  0.2500  0.2296 (multiplicity 2)
Li  0.2501  0.2500  0.5011 (multiplicity 2)
B  0.0177  0.7500  0.0665 (multiplicity 2)
B  0.1220  0.7500  0.6466 (multiplicity 2)
B  0.3862  0.7500  0.3595 (multiplicity 2)
B  0.4781  0.7500  0.9304 (multiplicity 2)
C  0.0485  0.7500  0.3547 (multiplicity 2)
C  0.1499  0.7500  0.9344 (multiplicity 2)
C  0.3528  0.7500  0.0694 (multiplicity 2)
C  0.4508  0.7500  0.6396 (multiplicity 2)

Peak list (12 most intense, 2θ from 5° to 70°, in order of rising 2θ)
2θ/deg, I (rel.), (hkl)
7.12, 42, 0 0 1
14.27, 56, 0 0 2
21.47, 100, 0 0 3
28.77, 24, 0 0 4
37.78, 14, 1 1 0
44.69, 15, 1 1 3
45.59, 11, 2 0 3
46.17, 11, 2 0 -4
47.13, 12, 1 1 -4
51.53, 22, 0 0 7
68.17, 14, 0 2 0
68.36, 6, 3 1 0


No. 4
This entry pairs a crystal structure of LiB2C2 with its simulated XRD peak list. Radiation: Cu Ka. Structure: a cell relaxed with GGA-PBE.
Neutral-atom scattering factors, no anomalous dispersion.

Structure:
Cell lengths 2.7260, 2.7260, 25.4186 Å; angles 90.00, 90.00, 120.00 degrees
Space group P-6m2 (No. 187)
Asymmetric unit:
Li  0.0000  0.0000  0.0702 (multiplicity 2)
Li  0.0000  0.0000  0.3243 (multiplicity 2)
B  0.3333  0.6667  0.1399 (multiplicity 2)
B  0.3333  0.6667  0.3946 (multiplicity 2)
B  0.6667  0.3333  0.0000 (multiplicity 1)
B  0.6667  0.3333  0.2543 (multiplicity 2)
B  0.6667  0.3333  0.5000 (multiplicity 1)
C  0.3333  0.6667  0.0000 (multiplicity 1)
C  0.3333  0.6667  0.2566 (multiplicity 2)
C  0.3333  0.6667  0.5000 (multiplicity 1)
C  0.6667  0.3333  0.1374 (multiplicity 2)
C  0.6667  0.3333  0.3922 (multiplicity 2)

Peak list (12 most intense, 2θ from 5° to 70°, in order of rising 2θ)
2θ/deg, I (rel.), (hkl)
24.51, 17, 0 0 7
28.08, 100, 0 0 8
31.68, 11, 0 0 9
38.12, 25, 1 0 0
38.98, 6, 0 0 11
39.63, 6, 1 0 3
42.21, 6, 1 0 5
42.69, 7, 0 0 12
45.85, 11, 1 0 7
48.01, 49, 1 0 8
54.12, 8, 0 0 15
68.89, 29, 1 1 0


No. 5
This entry pairs a crystal structure of LiB2C2 with its simulated XRD peak list. Radiation: Cu Ka. Structure: a cell relaxed with GGA-PBE.
Neutral-atom scattering factors, no anomalous dispersion.

Structure:
Cell lengths 2.7249, 2.7249, 19.7879 Å; angles 90.00, 90.00, 120.00 degrees
Space group P3m1 (No. 156)
Asymmetric unit:
Li  0.0000  0.0000  0.0000 (multiplicity 1)
Li  0.0000  0.0000  0.1799 (multiplicity 1)
Li  0.0000  0.0000  0.6689 (multiplicity 1)
B  0.3333  0.6667  0.2730 (multiplicity 1)
B  0.3333  0.6667  0.5800 (multiplicity 1)
B  0.3333  0.6667  0.9100 (multiplicity 1)
B  0.6667  0.3333  0.0917 (multiplicity 1)
B  0.6667  0.3333  0.3898 (multiplicity 1)
B  0.6667  0.3333  0.7600 (multiplicity 1)
C  0.3333  0.6667  0.0922 (multiplicity 1)
C  0.3333  0.6667  0.3908 (multiplicity 1)
C  0.3333  0.6667  0.7571 (multiplicity 1)
C  0.6667  0.3333  0.2691 (multiplicity 1)
C  0.6667  0.3333  0.5829 (multiplicity 1)
C  0.6667  0.3333  0.9136 (multiplicity 1)

Peak list (12 most intense, 2θ from 5° to 70°, in order of rising 2θ)
2θ/deg, I (rel.), (hkl)
8.94, 19, 0 0 2
13.42, 17, 0 0 3
17.93, 18, 0 0 4
22.47, 11, 0 0 5
27.04, 100, 0 0 6
36.32, 6, 0 0 8
38.14, 21, 1 0 0
42.44, 10, 1 0 4
45.86, 11, 0 0 10
47.37, 49, 0 1 6
55.75, 6, 0 0 12
68.92, 25, 1 1 0


No. 6
This entry pairs a crystal structure of Li5B8C8 with its simulated XRD peak list. Radiation: Cu Ka. Structure: a cell relaxed with GGA-PBE.
Neutral-atom scattering factors, no anomalous dispersion.

Structure:
Cell lengths 7.2468, 2.7246, 9.3679 Å; angles 90.00, 90.25, 90.00 degrees
Space group P2/m (No. 10)
Asymmetric unit:
Li  0.0000  0.0000  0.0000 (multiplicity 1)
Li  0.0021  0.5000  0.7290 (multiplicity 2)
Li  0.4955  0.5000  0.2405 (multiplicity 2)
B  0.2395  0.0000  0.1673 (multiplicity 2)
B  0.2475  0.5000  0.9181 (multiplicity 2)
B  0.2586  0.0000  0.6651 (multiplicity 2)
B  0.2611  0.5000  0.4190 (multiplicity 2)
C  0.2335  0.5000  0.0865 (multiplicity 2)
C  0.2493  0.0000  0.8356 (multiplicity 2)
C  0.2537  0.0000  0.3365 (multiplicity 2)
C  0.2624  0.5000  0.5868 (multiplicity 2)

Peak list (12 most intense, 2θ from 5° to 70°, in order of rising 2θ)
2θ/deg, I (rel.), (hkl)
15.46, 3, 1 0 -1
18.95, 2, 0 0 2
24.57, 100, 2 0 0
38.21, 6, 0 1 2
38.44, 4, 0 0 4
40.28, 2, 1 1 2
45.96, 27, 2 1 2
46.06, 8, 2 0 -4
46.25, 7, 2 0 4
50.37, 15, 4 0 0
68.93, 5, 0 2 0
69.37, 9, 0 1 6


No. 7
This entry pairs a crystal structure of Li5B8C8 with its simulated XRD peak list. Radiation: Cu Ka. Structure: a cell relaxed with GGA-PBE.
Neutral-atom scattering factors, no anomalous dispersion.

Structure:
Cell lengths 4.6902, 2.7247, 14.3586 Å; angles 90.00, 90.42, 90.00 degrees
Space group Pm (No. 6)
Asymmetric unit:
Li  0.0000  0.0000  0.0000 (multiplicity 1)
Li  0.0011  0.0000  0.2509 (multiplicity 1)
Li  0.0061  0.0000  0.7506 (multiplicity 1)
Li  0.5045  0.5000  0.7510 (multiplicity 1)
Li  0.5084  0.5000  0.5010 (multiplicity 1)
B  0.1675  0.5000  0.6245 (multiplicity 1)
B  0.1732  0.5000  0.1263 (multiplicity 1)
B  0.3430  0.0000  0.8773 (multiplicity 1)
B  0.3572  0.0000  0.3695 (multiplicity 1)
B  0.6657  0.0000  0.1257 (multiplicity 1)
B  0.6722  0.0000  0.6286 (multiplicity 1)
B  0.8383  0.5000  0.8731 (multiplicity 1)
B  0.8571  0.5000  0.3807 (multiplicity 1)
C  0.1754  0.5000  0.8751 (multiplicity 1)
C  0.1911  0.5000  0.3703 (multiplicity 1)
C  0.3324  0.0000  0.1262 (multiplicity 1)
C  0.3348  0.0000  0.6266 (multiplicity 1)
C  0.6760  0.0000  0.8713 (multiplicity 1)
C  0.6914  0.0000  0.3801 (multiplicity 1)
C  0.8337  0.5000  0.1257 (multiplicity 1)
C  0.8344  0.5000  0.6306 (multiplicity 1)

Peak list (12 most intense, 2θ from 5° to 70°, in order of rising 2θ)
2θ/deg, I (rel.), (hkl)
6.16, 6, 0 0 1
19.91, 2, 1 0 -1
24.80, 100, 0 0 4
38.20, 6, 1 1 0
38.38, 4, 2 0 0
40.31, 2, 1 1 2
46.00, 14, 1 1 -4
46.14, 23, 2 0 -4
46.41, 7, 2 0 4
50.88, 15, 0 0 8
68.93, 5, 0 2 0
69.29, 10, 3 1 0


No. 8
This entry pairs a crystal structure of Li5B6C6 with its simulated XRD peak list. Radiation: Cu Ka. Structure: a cell relaxed with GGA-PBE.
Neutral-atom scattering factors, no anomalous dispersion.

Structure:
Cell lengths 14.2165, 2.7207, 8.6813 Å; angles 90.00, 123.72, 90.00 degrees
Space group C2/m (No. 12)
Asymmetric unit:
Li  0.0000  0.0000  0.0000 (multiplicity 2)
Li  0.1534  0.0000  0.4964 (multiplicity 4)
Li  0.1675  0.5000  0.0032 (multiplicity 4)
B  0.0251  0.5000  0.2415 (multiplicity 4)
B  0.1372  0.0000  0.7519 (multiplicity 4)
B  0.1968  0.0000  0.2537 (multiplicity 4)
C  0.0332  0.0000  0.7657 (multiplicity 4)
C  0.1387  0.5000  0.2518 (multiplicity 4)
C  0.1949  0.5000  0.7508 (multiplicity 4)

Peak list (12 most intense, 2θ from 5° to 70°, in order of rising 2θ)
2θ/deg, I (rel.), (hkl)
12.26, 5, 0 0 1
13.07, 1, 2 0 -1
24.66, 100, 0 0 2
37.98, 2, 6 0 -2
38.14, 5, 3 1 -1
40.28, 1, 3 1 0
45.56, 10, 6 0 -4
45.83, 20, 3 1 -3
46.07, 30, 3 1 1
50.56, 19, 0 0 4
68.72, 12, 9 1 -3
69.04, 6, 0 2 0